[1]
Pu3HgRh: calculated powder diffraction line list (Cu Kα X-rays), based on a cell relaxed with GGA-PBE.

Atomic structure:
Unit cell a=6.2635 b=6.2635 c=3.1324 alpha=90.00 beta=90.00 gamma=120.00
Space group P-6m2 (No. 187)
Inequivalent atoms, fractional coordinates:
Pu: 0.0846 0.5423 0.0000 (multiplicity 3)
Hg: 0.0000 0.0000 0.5000 (multiplicity 1)
Rh: 0.6667 0.3333 0.5000 (multiplicity 1)

The 10 most intense peaks (10° ≤ 2θ ≤ 90°), in order of rising 2θ:
(1 0 0), 2θ 16.34, I 18; (0 0 1), 2θ 28.50, I 14; (2 0 0), 2θ 33.02, I 100; (1 1 1), 2θ 40.74, I 18; (2 1 0), 2θ 44.17, I 34; (2 1 1), 2θ 53.41, I 19; (0 0 2), 2θ 58.98, I 42; (2 0 2), 2θ 69.28, I 15; (2 1 2), 2θ 76.55, I 12; (3 2 1), 2θ 83.61, I 16

[2]
Pu2HgRh: calculated powder diffraction line list (Cu Kα X-rays), based on a cell relaxed with GGA-PBE.

Atomic structure:
Unit cell a=3.5416 b=3.5416 c=26.9257 alpha=90.00 beta=90.00 gamma=120.00
Space group R3m (No. 160, hexagonal axes)
Inequivalent atoms, fractional coordinates:
Pu: 0.0000 0.0000 0.0000 (multiplicity 3)
Pu: 0.0000 0.0000 0.2326 (multiplicity 3)
Hg: 0.0000 0.0000 0.7608 (multiplicity 3)
Rh: 0.0000 0.0000 0.5028 (multiplicity 3)

The 10 most intense peaks (10° ≤ 2θ ≤ 90°), in order of rising 2θ:
(0 0 9), 2θ 29.87, I 16; (1 0 4), 2θ 32.07, I 100; (0 1 5), 2θ 33.63, I 16; (0 1 8), 2θ 39.76, I 45; (1 1 0), 2θ 51.61, I 29; (1 0 13), 2θ 53.38, I 13; (1 1 9), 2θ 60.78, I 12; (0 2 4), 2θ 62.07, I 17; (1 1 12), 2θ 67.37, I 13; (2 1 4), 2θ 84.87, I 17

[3]
SmPuHgRh: calculated powder diffraction line list (Cu Kα X-rays), based on a cell relaxed with GGA-PBE.

Atomic structure:
Unit cell a=3.5279 b=3.5279 c=7.6672 alpha=90.00 beta=90.00 gamma=90.00
Space group P4mm (No. 99)
Inequivalent atoms, fractional coordinates:
Sm: 0.0000 0.0000 0.0000 (multiplicity 1)
Pu: 0.0000 0.0000 0.5638 (multiplicity 1)
Hg: 0.5000 0.5000 0.2800 (multiplicity 1)
Rh: 0.5000 0.5000 0.7775 (multiplicity 1)

The 10 most intense peaks (10° ≤ 2θ ≤ 90°), in order of rising 2θ:
(1 0 1), 2θ 27.84, I 14; (1 0 2), 2θ 34.55, I 100; (1 1 0), 2θ 36.00, I 49; (0 0 4), 2θ 47.43, I 8; (1 1 3), 2θ 51.17, I 8; (2 0 0), 2θ 51.83, I 18; (1 1 4), 2θ 60.96, I 15; (2 1 2), 2θ 63.79, I 34; (2 0 4), 2θ 72.87, I 9; (3 1 0), 2θ 87.42, I 8

[4]
Pu3HgS6: calculated powder diffraction line list (Cu Kα X-rays), based on a cell relaxed with GGA-PBE.

Atomic structure:
Unit cell a=10.7313 b=13.3599 c=6.6262 alpha=90.00 beta=90.00 gamma=90.00
Space group Cmc2_1 (No. 36)
Inequivalent atoms, fractional coordinates:
Pu: 0.0000 0.1026 0.0000 (multiplicity 4)
Pu: 0.1821 0.3984 0.9275 (multiplicity 8)
Hg: 0.0000 0.3000 0.3888 (multiplicity 4)
S: 0.0000 0.2790 0.7612 (multiplicity 4)
S: 0.0000 0.4736 0.2017 (multiplicity 4)
S: 0.1618 0.0267 0.7167 (multiplicity 8)
S: 0.1818 0.2256 0.1743 (multiplicity 8)

The 10 most intense peaks (10° ≤ 2θ ≤ 90°), in order of rising 2θ:
(2 2 1), 2θ 25.18, I 100; (1 3 1), 2θ 25.49, I 62; (3 1 0), 2θ 25.78, I 17; (0 0 2), 2θ 26.91, I 21; (3 1 1), 2θ 29.15, I 19; (3 1 2), 2θ 37.61, I 31; (0 4 2), 2θ 38.26, I 19; (3 5 0), 2θ 42.22, I 36; (5 3 1), 2θ 49.08, I 21; (3 5 2), 2θ 50.78, I 19

[5]
Pu2HgSb4: calculated powder diffraction line list (Cu Kα X-rays), based on a cell relaxed with GGA-PBE.

Atomic structure:
Unit cell a=4.3834 b=4.3834 c=10.0971 alpha=90.00 beta=90.00 gamma=90.00
Space group P-4m2 (No. 115)
Inequivalent atoms, fractional coordinates:
Pu: 0.0000 0.5000 0.2415 (multiplicity 2)
Hg: 0.0000 0.0000 0.5000 (multiplicity 1)
Sb: 0.0000 0.0000 0.0000 (multiplicity 1)
Sb: 0.0000 0.5000 0.6918 (multiplicity 2)
Sb: 0.5000 0.5000 0.0000 (multiplicity 1)

The 10 most intense peaks (10° ≤ 2θ ≤ 90°), in order of rising 2θ:
(1 0 1), 2θ 22.11, I 23; (1 0 2), 2θ 26.94, I 13; (1 0 3), 2θ 33.57, I 14; (1 1 2), 2θ 33.94, I 100; (0 0 4), 2θ 35.56, I 16; (2 0 0), 2θ 41.20, I 41; (1 0 5), 2θ 49.70, I 10; (2 0 4), 2θ 55.53, I 18; (2 2 0), 2θ 59.68, I 16; (3 1 2), 2θ 70.44, I 24

[6]
Pu4HgSb2: calculated powder diffraction line list (Cu Kα X-rays), based on a cell relaxed with GGA-PBE.

Atomic structure:
Unit cell a=5.7672 b=5.7672 c=12.5987 alpha=90.00 beta=90.00 gamma=90.00
Space group I4/mmm (No. 139)
Inequivalent atoms, fractional coordinates:
Pu: 0.0000 0.5000 0.0000 (multiplicity 4)
Pu: 0.0000 0.5000 0.2500 (multiplicity 4)
Hg: 0.0000 0.0000 0.0000 (multiplicity 2)
Sb: 0.0000 0.0000 0.3616 (multiplicity 4)

The 10 most intense peaks (10° ≤ 2θ ≤ 90°), in order of rising 2θ:
(1 1 0), 2θ 21.79, I 30; (1 0 3), 2θ 26.25, I 27; (0 0 4), 2θ 28.34, I 27; (2 0 0), 2θ 31.01, I 100; (1 1 4), 2θ 36.03, I 66; (2 0 4), 2θ 42.50, I 38; (2 2 0), 2θ 44.43, I 38; (2 2 4), 2θ 53.54, I 20; (3 1 4), 2θ 58.48, I 33; (2 0 8), 2θ 67.80, I 20